(1)
The following is a theoretical powder X-ray diffraction pattern of Co2PHO5. It was derived from a cell relaxed with PBE+U, using CuKα.

Most intense lines, 5 to 70 degrees two-theta, sorted by position:
d_spacing, 2θ/deg, Rel. int., index
5.857, 15.1, 100, 1 1 0
4.903, 18.1, 70, 0 1 1
4.854, 18.3, 95, 1 0 1
3.672, 24.2, 42, 2 1 0
2.928, 30.5, 89, 2 2 0
2.683, 33.4, 92, 1 1 2
2.589, 34.6, 50, 3 1 0
2.452, 36.7, 40, 0 2 2
2.427, 37.0, 50, 2 0 2
1.589, 58.1, 39, 2 4 2

Structural model:
```
Co2PHO5
1.0
8.1648 0.0000 0.0000
0.0000 8.4059 0.0000
0.0000 0.0000 6.0370
Co P H O
8 4 4 20
direct
0.0000 0.0000 0.2451
0.0000 0.0000 0.7549
0.1388 0.3696 0.0000
0.3612 0.8696 0.5000
0.5000 0.5000 0.2549
0.5000 0.5000 0.7451
0.6388 0.1304 0.5000
0.8612 0.6304 0.0000
0.2485 0.7408 0.0000
0.2515 0.2408 0.5000
0.7485 0.7592 0.5000
0.7515 0.2592 0.0000
0.2265 0.0817 0.0000
0.2735 0.5817 0.5000
0.7265 0.4183 0.5000
0.7735 0.9183 0.0000
0.0865 0.1468 0.5000
0.1095 0.6130 0.0000
0.1153 0.1244 0.0000
0.2334 0.8485 0.2087
0.2334 0.8485 0.7913
0.2666 0.3485 0.2913
0.2666 0.3485 0.7087
0.3847 0.6244 0.5000
0.3905 0.1130 0.5000
0.4135 0.6468 0.0000
0.5865 0.3532 0.0000
0.6095 0.8870 0.5000
0.6153 0.3756 0.5000
0.7334 0.6515 0.2913
0.7334 0.6515 0.7087
0.7666 0.1515 0.2087
0.7666 0.1515 0.7913
0.8847 0.8756 0.0000
0.8905 0.3870 0.0000
0.9135 0.8532 0.5000
```

(2)
The following is a theoretical powder X-ray diffraction pattern of ZnCoPHO5. It was derived from a cell relaxed with PBE+U, using CuKα.

Most intense lines, 5 to 70 degrees two-theta, sorted by position:
d_spacing, 2θ/deg, Rel. int., index
7.400, 12.0, 24, 0 0 1
4.655, 19.1, 100, 1 0 -1
3.953, 22.5, 55, 1 0 1
3.600, 24.7, 18, -1 1 1
3.219, 27.7, 32, 0 1 -2
2.881, 31.0, 21, 1 1 -2
2.798, 32.0, 34, 1 0 2
2.402, 37.4, 23, 1 -2 1
2.394, 37.6, 24, 1 2 0
1.867, 48.8, 20, 2 2 -1

Structural model:
```
ZnCoPHO5
1.0
5.2957 0.0000 0.0000
-0.3365 5.6240 0.0000
-1.2656 -0.6487 7.3996
Zn Co P H O
2 2 2 2 10
direct
0.1181 0.2075 0.1336
0.8819 0.7925 0.8664
0.5000 0.0000 0.5000
0.5000 0.5000 0.5000
0.0543 0.3002 0.7176
0.9457 0.6998 0.2824
0.4002 0.7335 0.7722
0.5998 0.2665 0.2278
0.0822 0.1154 0.8658
0.1187 0.5544 0.8163
0.2264 0.7269 0.3846
0.2469 0.2508 0.5892
0.4507 0.2285 0.2866
0.5493 0.7715 0.7134
0.7531 0.7492 0.4108
0.7736 0.2731 0.6154
0.8813 0.4456 0.1837
0.9178 0.8846 0.1342
```

(3)
The following is a theoretical powder X-ray diffraction pattern of CoRe2H8O12. It was derived from a cell relaxed with PBE+U, using CuKα.

Most intense lines, 5 to 70 degrees two-theta, sorted by position:
d_spacing, 2θ/deg, Rel. int., index
6.137, 14.4, 68, 1 0 0
5.593, 15.8, 35, 0 1 1
5.329, 16.6, 36, 1 1 1
5.181, 17.1, 86, 1 0 1
4.877, 18.2, 100, 1 1 0
3.862, 23.0, 79, 0 1 -1
3.641, 24.4, 36, 1 1 2
3.496, 25.5, 76, -1 1 1
3.429, 26.0, 71, 0 1 2
3.291, 27.1, 41, 0 2 1

Structural model:
```
CoRe2H8O12
1.0
6.7052 0.0000 0.0000
2.2532 6.6364 0.0000
2.6676 2.4732 6.5189
Co Re H O
1 2 8 12
direct
0.0000 0.0000 0.0000
0.4156 0.6765 0.7089
0.5844 0.3235 0.2911
0.1101 0.3020 0.6420
0.1234 0.5943 0.2496
0.1825 0.0124 0.2756
0.2459 0.1997 0.0573
0.7541 0.8003 0.9427
0.8175 0.9876 0.7244
0.8766 0.4057 0.7504
0.8899 0.6980 0.3580
0.0104 0.2998 0.7772
0.1782 0.0719 0.1324
0.2920 0.8851 0.8095
0.3008 0.3309 0.3872
0.3025 0.7287 0.5107
0.3681 0.4304 0.9012
0.6319 0.5696 0.0988
0.6975 0.2713 0.4893
0.6992 0.6691 0.6128
0.7080 0.1149 0.1905
0.8218 0.9281 0.8676
0.9896 0.7002 0.2228
```